Structure and simulated powder XRD pattern of Na3HfAlSiP2O12 (DFT lattice parameters and positions (GGA-PBE); Cu Ka).
Neutral-atom scattering factors, no anomalous dispersion.

Largest 12 diffraction maxima, in order of rising 2θ, 10° ≤ 2θ ≤ 90°:
(hkl)	2θ/deg	I_rel
2 0 0	13.88	44
1 1 -1	14.12	100
1 1 1	19.76	77
2 0 -2	19.93	91
0 2 0	20.09	32
2 2 0	24.50	45
2 2 -2	28.46	37
3 1 1	31.35	41
0 2 2	31.68	39
3 1 -3	31.83	55
3 3 -1	35.04	61
0 4 2	48.07	29

Atomic structure:
Cell lengths 15.4802, 8.8397, 8.9041 Å; angles 90.00, 124.45, 90.00 degrees
Space group Cc (No. 9)
Unique sites:
Na 0.0000 0.0708 0.0000 [4 per cell]
Na 0.0624 0.2788 0.7123 [4 per cell]
Na 0.3162 0.1060 0.9799 [4 per cell]
Hf 0.2076 0.2570 0.1569 [4 per cell]
Al 0.4185 0.2406 0.7821 [4 per cell]
Si 0.4543 0.0980 0.4646 [4 per cell]
P 0.1641 0.1177 0.4801 [4 per cell]
P 0.3208 0.4580 0.9808 [4 per cell]
O 0.0540 0.3207 0.9771 [4 per cell]
O 0.0655 0.1795 0.4611 [4 per cell]
O 0.1577 0.0603 0.9850 [4 per cell]
O 0.1620 0.1467 0.3054 [4 per cell]
O 0.2393 0.3507 0.9762 [4 per cell]
O 0.2555 0.4415 0.3099 [4 per cell]
O 0.2658 0.1787 0.6503 [4 per cell]
O 0.3497 0.1638 0.2760 [4 per cell]
O 0.3842 0.4439 0.6531 [4 per cell]
O 0.3977 0.3604 0.9627 [4 per cell]
O 0.4449 0.1480 0.6310 [4 per cell]
O 0.4546 0.0859 0.9511 [4 per cell]